# CuH5IO7
Calculated powder diffractogram, CuKα. Input: a DFT-relaxed cell (GGA-PBE, the Materials Project).

```
CuH5IO7
1.0
5.324 0.000 0.000
0.000 6.596 0.000
0.000 0.000 15.877
Cu H I O
4 20 4 28
Cartesian
0.861 0.946 1.009
1.801 5.650 8.947
3.524 2.352 14.868
4.463 4.243 6.929
0.149 4.897 1.393
0.155 1.979 8.015
0.167 0.225 10.607
0.391 0.482 4.222
0.711 3.044 10.484
1.951 3.551 2.546
2.271 6.114 12.160
2.495 6.371 2.669
2.507 4.617 0.077
2.513 1.699 9.331
2.811 4.996 14.484
2.817 1.319 7.861
2.829 3.073 5.269
3.053 2.816 11.654
3.374 0.254 5.393
4.613 6.342 13.331
4.933 3.780 3.716
5.158 3.522 13.208
5.169 5.277 15.800
5.175 1.599 6.546
1.141 1.345 13.423
1.521 5.251 5.485
3.803 1.953 2.454
4.184 4.643 10.392
0.019 2.917 14.002
0.029 4.125 5.201
0.362 3.583 9.723
0.498 0.280 5.217
0.527 1.448 11.704
0.539 5.357 0.616
0.855 5.261 7.282
1.807 1.335 15.220
2.123 1.238 8.554
2.135 5.148 3.765
2.164 6.315 13.156
2.301 3.013 1.785
2.633 2.470 13.139
2.643 3.678 6.064
2.681 0.380 1.875
2.691 5.768 10.675
3.024 6.311 6.153
3.161 3.018 10.659
3.189 1.850 4.173
3.201 4.536 15.261
3.518 4.633 8.595
4.469 1.963 0.656
4.785 2.060 7.322
4.797 4.746 12.111
4.826 3.578 2.721
4.963 0.285 14.092
5.295 0.827 2.737
5.305 6.215 9.813
```

Peak list (6 most intense, 2θ from 10° to 90°, sorted by position)
d (Å)	Rel. int.
6.091	100
4.422	16
4.133	49
4.009	44
3.182	28
2.520	22


# CuH4I2O8
Calculated powder diffractogram, CuKα. Input: a DFT-relaxed cell (GGA-PBE, the Materials Project).

```
CuH4I2O8
1.0
6.720 0.000 0.000
0.000 4.885 0.000
-2.812 0.000 10.982
Cu H I O
2 8 4 16
Cartesian
0.000 0.000 0.000
-1.406 2.443 5.491
0.000 0.446 4.683
-1.406 1.997 10.174
0.768 1.143 5.935
2.175 1.300 0.443
1.733 3.586 10.539
3.139 3.742 5.048
5.314 2.889 0.809
3.908 4.439 6.300
0.996 3.121 2.944
-0.410 4.207 8.435
4.318 0.679 2.547
2.912 1.764 8.038
-1.875 3.360 9.185
-0.469 3.968 3.694
-0.324 3.468 6.753
1.082 3.860 1.262
-1.210 1.113 10.617
0.196 1.330 5.126
0.883 3.181 9.238
2.289 4.147 3.747
1.619 0.738 7.236
3.025 1.705 1.745
3.712 3.556 5.856
5.118 3.773 0.365
2.825 1.026 9.720
4.231 1.417 4.229
4.377 0.917 7.289
5.783 1.526 1.798
```

Peak list (6 most intense, 2θ from 10° to 90°, sorted by position)
d (Å)	Rel. int.
5.491	71
3.907	98
3.520	90
3.434	100
2.981	52
2.895	54


# K3Cu2H7
Calculated powder diffractogram, CuKα. Input: a DFT-relaxed cell (GGA-PBE, the Materials Project).

```
K3Cu2H7
1.0
-1.888 1.888 10.089
1.888 -1.888 10.089
1.888 1.888 -10.089
K Cu H
3 2 7
Cartesian
0.000 0.000 0.000
0.000 0.000 3.664
0.000 0.000 16.515
0.000 0.000 8.243
0.000 0.000 11.936
1.888 0.000 1.817
0.000 0.000 6.541
1.888 0.000 8.273
0.000 0.000 10.089
0.000 1.888 1.817
0.000 0.000 13.638
0.000 1.888 8.273
```

Peak list (6 most intense, 2θ from 10° to 90°, sorted by position)
d (Å)	Rel. int.
2.757	100
2.670	54
2.291	14
1.888	19
1.610	11
1.558	31


# K2CuP4H8O15
Calculated powder diffractogram, CuKα. Input: a DFT-relaxed cell (GGA-PBE, the Materials Project).

```
K2CuP4H8O15
1.0
4.912 -6.201 0.000
4.912 6.201 0.000
-1.683 0.000 6.797
K Cu P H O
2 1 4 8 15
Cartesian
1.921 0.000 0.626
6.221 0.000 6.171
-0.841 0.000 3.399
4.270 3.294 2.289
3.872 3.294 4.508
4.270 -3.294 2.289
3.872 -3.294 4.508
2.143 3.054 1.667
2.008 0.789 4.089
2.008 -0.789 4.089
6.000 3.054 5.130
2.143 -3.054 1.667
6.134 0.789 2.708
6.134 -0.789 2.708
6.000 -3.054 5.130
4.273 4.801 1.945
3.869 4.801 4.852
3.035 2.587 1.556
2.620 2.514 4.865
1.643 0.000 3.629
5.522 2.514 1.932
5.107 2.587 5.241
4.912 0.000 0.000
3.035 -2.587 1.556
2.620 -2.514 4.865
6.499 0.000 3.168
5.522 -2.514 1.932
5.107 -2.587 5.241
4.273 -4.801 1.945
3.869 -4.801 4.852
```

Peak list (6 most intense, 2θ from 10° to 90°, sorted by position)
d (Å)	Rel. int.
7.560	100
6.797	45
4.769	36
3.101	54
3.087	57
2.980	94


# K3Cu2P4HO14
Calculated powder diffractogram, CuKα. Input: a DFT-relaxed cell (GGA-PBE, the Materials Project).

```
K3Cu2P4HO14
1.0
5.323 0.000 0.000
-2.533 4.997 0.000
-2.277 -1.284 12.638
K Cu P H O
3 2 4 1 14
Cartesian
0.000 0.000 0.000
-2.354 3.518 7.119
2.868 0.196 5.519
-2.448 3.504 3.527
2.961 0.210 9.111
0.235 1.914 4.293
0.218 3.352 1.873
0.296 0.362 10.765
0.279 1.800 8.345
1.395 2.499 0.000
-0.886 -0.478 10.242
-1.018 1.076 7.888
-1.146 4.005 2.133
-1.029 2.707 4.713
0.203 0.459 4.746
0.252 1.924 2.663
0.360 2.990 0.387
0.153 0.724 12.251
0.262 1.790 9.975
0.311 3.254 7.892
1.542 1.006 7.925
1.660 -0.291 10.505
1.532 2.638 4.750
1.400 4.192 2.396
```

Peak list (6 most intense, 2θ from 10° to 90°, sorted by position)
d (Å)	Rel. int.
6.319	59
4.795	72
4.475	100
2.959	68
2.900	64
2.659	59